# 1
Computed PXRD pattern of Mg3Mo for copper Kα, from a crystal structure in the Materials Project, relaxed with GGA-PBE.
Neutral-atom scattering factors, no anomalous dispersion.

Most intense lines, 15 to 90 degrees two-theta, sorted by position:
h k l	two_theta	Rel. int.
0 0 1	16.4	66
0 1 0	18.1	44
0 1 1	24.5	36
0 0 2	33.0	17
1 0 1	35.4	42
0 2 0	36.6	44
0 1 2	37.9	70
1 1 1	40.0	100
1 2 1	51.8	27
1 0 3	60.5	18
1 3 1	68.2	19
1 2 3	72.9	20

Structure:
Cell: 2.873 4.905 5.421 Å, 90.00 90.00 90.00°
Space group Pmm2 (No. 25)
Unique sites:
Mg 0.000 0.000 0.000 [1 per cell]
Mg 0.000 0.500 0.330 [1 per cell]
Mg 0.500 0.000 0.541 [1 per cell]
Mo 0.500 0.500 0.829 [1 per cell]

=====

# 2
Computed PXRD pattern of Mg3Mo for copper Kα, from a crystal structure in the Materials Project, relaxed with GGA-PBE.
Neutral-atom scattering factors, no anomalous dispersion.

Most intense lines, 15 to 90 degrees two-theta, sorted by position:
h k l	two_theta	Rel. int.
1 0 0	21.2	54
1 1 0	30.1	45
1 1 1	37.1	100
2 0 0	43.1	48
2 1 0	48.5	23
2 1 1	53.4	17
2 2 0	62.5	31
3 0 0	66.8	11
3 1 0	71.0	7
3 1 1	75.0	35
2 2 2	79.0	10
3 2 1	86.7	9

Structure:
Cell: 4.201 4.201 4.201 Å, 90.00 90.00 90.00°
Space group Pm-3m (No. 221)
Unique sites:
Mg 0.000 0.000 0.500 [3 per cell]
Mo 0.500 0.500 0.500 [1 per cell]

=====

# 3
Computed PXRD pattern of Mg3MoN4 for copper Kα, from a crystal structure in the Materials Project, relaxed with GGA-PBE.
Neutral-atom scattering factors, no anomalous dispersion.

Most intense lines, 15 to 90 degrees two-theta, sorted by position:
h k l	two_theta	Rel. int.
1 1 0	15.7	41
1 1 -1	21.4	41
1 1 1	21.5	90
2 0 -1	24.1	43
0 2 1	28.9	100
0 0 2	29.4	60
3 1 0	31.7	77
2 2 -1	34.9	69
4 0 0	39.1	50
4 2 1	49.5	38
0 4 0	50.9	36
0 2 3	51.9	70

Structure:
Cell: 9.208 7.172 6.071 Å, 90.00 90.64 90.00°
Space group C2/m (No. 12)
Unique sites:
Mg 0.114 0.000 0.324 [4 per cell]
Mg 0.117 0.268 0.832 [8 per cell]
Mo 0.170 0.500 0.330 [4 per cell]
N 0.123 0.275 0.180 [8 per cell]
N 0.124 0.000 0.682 [4 per cell]
N 0.144 0.500 0.633 [4 per cell]

=====

# 4
Computed PXRD pattern of Mg3MoN4 for copper Kα, from a crystal structure in the Materials Project, relaxed with GGA-PBE.
Neutral-atom scattering factors, no anomalous dispersion.

Most intense lines, 15 to 90 degrees two-theta, sorted by position:
h k l	two_theta	Rel. int.
0 1 0	16.9	31
0 1 1	17.5	89
1 1 0	22.0	40
1 0 1	22.4	41
1 0 -1	26.0	36
0 0 2	33.4	30
1 2 0	35.4	37
2 0 0	35.6	100
1 0 -2	40.3	73
2 2 2	41.6	82
1 -2 0	41.8	83
0 2 -2	59.4	30

Structure:
Cell: 5.336 6.141 6.225 Å, 60.46 74.61 72.98°
Space group P-1 (No. 2)
Unique sites:
Mg 0.234 0.137 0.354 [2 per cell]
Mg 0.248 0.634 0.363 [2 per cell]
Mg 0.260 0.621 0.878 [2 per cell]
Mo 0.259 0.148 0.817 [2 per cell]
N 0.022 0.474 0.762 [2 per cell]
N 0.025 0.005 0.751 [2 per cell]
N 0.489 0.246 0.514 [2 per cell]
N 0.500 0.228 0.001 [2 per cell]

=====

# 5
Computed PXRD pattern of Mg3MoN4 for copper Kα, from a crystal structure in the Materials Project, relaxed with GGA-PBE.
Neutral-atom scattering factors, no anomalous dispersion.

Most intense lines, 15 to 90 degrees two-theta, sorted by position:
h k l	two_theta	Rel. int.
1 1 0	20.0	45
1 0 1	21.3	50
0 1 1	22.6	32
2 0 0	26.3	25
0 2 0	30.5	66
0 0 2	33.9	45
2 1 1	35.0	100
0 2 2	46.2	27
4 0 0	54.2	45
2 1 3	61.4	37
4 0 2	65.5	35
0 4 1	66.1	17

Structure:
Cell: 6.776 5.859 5.290 Å, 90.00 90.00 90.00°
Space group Pmn2_1 (No. 31)
Unique sites:
Mg 0.000 0.161 0.000 [2 per cell]
Mg 0.248 0.331 0.499 [4 per cell]
Mo 0.000 0.829 0.491 [2 per cell]
N 0.000 0.136 0.598 [2 per cell]
N 0.000 0.826 0.139 [2 per cell]
N 0.231 0.677 0.599 [4 per cell]

=====

Question: Number 3 is which compound?
Answer: Mg3MoN4

=====

What did the fifth record say?
Computed PXRD pattern of Mg3MoN4 for copper Kα, from a crystal structure in the Materials Project, relaxed with GGA-PBE.
Neutral-atom scattering factors, no anomalous dispersion.

Most intense lines, 15 to 90 degrees two-theta, sorted by position:
h k l	two_theta	Rel. int.
1 1 0	20.0	45
1 0 1	21.3	50
0 1 1	22.6	32
2 0 0	26.3	25
0 2 0	30.5	66
0 0 2	33.9	45
2 1 1	35.0	100
0 2 2	46.2	27
4 0 0	54.2	45
2 1 3	61.4	37
4 0 2	65.5	35
0 4 1	66.1	17

Structure:
Cell: 6.776 5.859 5.290 Å, 90.00 90.00 90.00°
Space group Pmn2_1 (No. 31)
Unique sites:
Mg 0.000 0.161 0.000 [2 per cell]
Mg 0.248 0.331 0.499 [4 per cell]
Mo 0.000 0.829 0.491 [2 per cell]
N 0.000 0.136 0.598 [2 per cell]
N 0.000 0.826 0.139 [2 per cell]
N 0.231 0.677 0.599 [4 per cell]